Starting from a DFT-relaxed cell (GGA+U, Alexandria), the X-ray powder pattern of BaY2CoO5 was simulated for copper Kα.
Lines closer than 0.1° are merged.

Crystal structure
Unit cell a=12.393 b=5.769 c=7.155 alpha=90.00 beta=90.00 gamma=90.00
Space group Pnma (No. 62)
Unique sites:
1 Ba 0.100 0.250 0.079 x4
2 Y 0.074 0.750 0.401 x4
3 Y 0.208 0.250 0.619 x4
4 Co 0.152 0.750 0.808 x4
5 O 0.066 0.504 0.666 x8
6 O 0.102 0.750 0.074 x4
7 O 0.225 0.001 0.359 x8

The 8 most intense peaks (2θ = 15–90°), in order of rising 2θ:
29.38°, rel. 100.0, (3 1 1); 30.27°, rel. 84.8, (1 1 2); 31.00°, rel. 51.7, (0 2 0); 31.47°, rel. 17.6, (4 0 1); 40.53°, rel. 19.8, (2 0 3); 44.76°, rel. 34.2, (4 2 1); 54.15°, rel. 21.9, (3 3 1); 54.68°, rel. 18.6, (1 3 2)